For PaIn3I2Cl6, a DFT-relaxed cell (PBE, Alexandria) gives the calculated powder X-ray diffraction pattern in this record (Cu Ka).
No peak broadening, texture or thermal motion is included.

Atomic structure:
Cell lengths 16.8152, 9.1243, 6.2446 Å; angles 90.00, 92.19, 90.00 degrees
Space group C2/m (No. 12)
Asymmetric unit:
Pa 0.0000 0.0000 0.0000 [2 per cell]
In 0.0000 0.5000 0.5000 [2 per cell]
In 0.2500 0.2500 0.0000 [4 per cell]
I 0.1846 0.5000 0.3447 [4 per cell]
Cl 0.0637 0.2010 0.7733 [8 per cell]
Cl 0.1292 0.0000 0.2320 [4 per cell]

Largest 10 diffraction maxima, by angle, 2θ from 10° to 80°:
two_theta  I/Imax
17.85  21
18.17  100
18.59  27
21.15  25
26.02  33
26.20  72
35.17  22
36.16  20
36.82  39
37.69  38